Starting from a structure optimized by DFT (GGA+U), the XRD peak list of YTl3W2O9 was computed for Cu Kα X-rays.

Crystal structure
a b c (Å): 5.8928 5.8928 7.2956
angles (deg): 90.00 90.00 120.00
Space group P-3m1 (No. 164)
Unique sites:
Y: 0.0000 0.0000 0.0000 [1 per cell]
Tl: 0.0000 0.0000 0.5000 [1 per cell]
Tl: 0.3333 0.6667 0.1694 [2 per cell]
W: 0.3333 0.6667 0.6632 [2 per cell]
O: 0.0000 0.5000 0.5000 [3 per cell]
O: 0.1792 0.3584 0.8087 [6 per cell]

Peak list (10 most intense, 2θ = 10–90°, by angle)
2.968 Å, 30.11°, intensity 100; 2.946 Å, 30.34°, intensity 97; 2.091 Å, 43.27°, intensity 52; 1.717 Å, 53.34°, intensity 21; 1.705 Å, 53.76°, intensity 41; 1.701 Å, 53.90°, intensity 20; 1.484 Å, 62.60°, intensity 17; 1.473 Å, 63.11°, intensity 17; 1.325 Å, 71.14°, intensity 18; 1.320 Å, 71.50°, intensity 18